Starting from DFT lattice parameters and positions (GGA-PBE), the powder XRD pattern of Cs4CuSb2Cl12 was calculated for Cu Kα X-rays.
Neutral-atom scattering factors, no anomalous dispersion.

Crystal structure
```
Cs4CuSb2Cl12
1.0
6.789 -3.712 0.000
6.789 3.712 0.000
-5.460 0.000 12.411
Cs Cu Sb Cl
4 1 2 12
Direct
0.124 0.124 0.373
0.374 0.374 0.123
0.626 0.626 0.877
0.876 0.876 0.627
0.000 0.000 0.000
0.254 0.254 0.751
0.746 0.746 0.249
0.101 0.627 0.367
0.112 0.666 0.889
0.134 0.134 0.864
0.334 0.888 0.111
0.366 0.366 0.634
0.373 0.899 0.633
0.627 0.101 0.367
0.634 0.634 0.366
0.666 0.112 0.889
0.866 0.866 0.136
0.888 0.334 0.111
0.899 0.373 0.633
```

Principal peaks in the range 10 to 90 degrees two-theta, by intensity:
- 3.855 Å, I = 100.0
- 2.623 Å, I = 58.5
- 3.106 Å, I = 48.9
- 3.710 Å, I = 45.8
- 1.927 Å, I = 43.5
- 2.841 Å, I = 37.3
- 2.170 Å, I = 32.8
- 2.256 Å, I = 23.2
- 6.213 Å, I = 20.9
- 1.554 Å, I = 15.3
- 1.781 Å, I = 12.6
- 1.659 Å, I = 10.4